1.
This entry pairs a crystal structure of Tl2PdAuF6 with its computed powder diffractogram. Radiation: copper Kα. Structure: a PBE-relaxed structure.

Structure:
```
data_Tl2PdAuF6
_space_group_name_H-M_alt 'P 1'
_space_group_IT_number 1
_cell_length_a 6.0804
_cell_length_b 6.0804
_cell_length_c 6.0804
_cell_angle_alpha 120.25
_cell_angle_beta 120.25
_cell_angle_gamma 89.57
loop_
_space_group_symop_operation_xyz
'x,y,z'
loop_
_atom_site_label
_atom_site_type_symbol
_atom_site_fract_x
_atom_site_fract_y
_atom_site_fract_z
Tl1 Tl 0.2500 0.7500 0.5000
Tl2 Tl 0.7500 0.2500 0.5000
Pd1 Pd 0.0000 0.0000 0.0000
Au1 Au 0.5000 0.5000 0.0000
F1 F 0.2046 0.2703 0.4748
F2 F 0.2440 0.2440 0.0000
F3 F 0.2703 0.7954 0.0657
F4 F 0.7297 0.2046 0.9343
F5 F 0.7560 0.7560 0.0000
F6 F 0.7954 0.7297 0.5252
```

The 8 most intense peaks (2θ = 5–70°), most intense first:
- 2θ 29.38, d 3.040, rel. 100.0
- 2θ 29.49, d 3.029, rel. 51.1
- 2θ 52.25, d 1.751, rel. 43.1
- 2θ 42.20, d 2.142, rel. 28.1
- 2θ 52.04, d 1.757, rel. 21.8
- 2θ 69.35, d 1.355, rel. 18.7
- 2θ 60.95, d 1.520, rel. 18.5
- 2θ 41.86, d 2.158, rel. 14.9


2.
This entry pairs a crystal structure of AuS6F2 with its computed powder diffractogram. Radiation: copper Kα. Structure: a PBE-relaxed structure.

Structure:
```
data_AuS6F2
_space_group_name_H-M_alt 'P 1'
_space_group_IT_number 1
_cell_length_a 4.0577
_cell_length_b 6.7135
_cell_length_c 6.9965
_cell_angle_alpha 72.78
_cell_angle_beta 80.18
_cell_angle_gamma 85.14
loop_
_space_group_symop_operation_xyz
'x,y,z'
loop_
_atom_site_label
_atom_site_type_symbol
_atom_site_fract_x
_atom_site_fract_y
_atom_site_fract_z
Au1 Au 0.0000 0.0000 0.0000
S1 S 0.0163 0.5454 0.7563
S2 S 0.1684 0.7224 0.2820
S3 S 0.1719 0.2298 0.4707
S4 S 0.8281 0.7702 0.5293
S5 S 0.8316 0.2776 0.7180
S6 S 0.9837 0.4546 0.2437
F1 F 0.3834 0.8851 0.8081
F2 F 0.6166 0.1149 0.1919
```

The 8 most intense peaks (2θ = 5–70°), most intense first:
- 2θ 22.25, d 3.996, rel. 100.0
- 2θ 16.28, d 5.446, rel. 95.5
- 2θ 13.82, d 6.408, rel. 72.8
- 2θ 25.50, d 3.493, rel. 63.5
- 2θ 33.36, d 2.686, rel. 58.2
- 2θ 13.41, d 6.604, rel. 51.9
- 2θ 37.92, d 2.373, rel. 47.2
- 2θ 38.78, d 2.322, rel. 42.4


3.
This entry pairs a crystal structure of SmAu3F with its computed powder diffractogram. Radiation: copper Kα. Structure: a PBE-relaxed structure.

Structure:
```
data_SmAu3F
_space_group_name_H-M_alt 'P 1'
_space_group_IT_number 1
_cell_length_a 6.5145
_cell_length_b 6.5145
_cell_length_c 5.8958
_cell_angle_alpha 90.00
_cell_angle_beta 90.00
_cell_angle_gamma 120.00
loop_
_space_group_symop_operation_xyz
'x,y,z'
loop_
_atom_site_label
_atom_site_type_symbol
_atom_site_fract_x
_atom_site_fract_y
_atom_site_fract_z
Sm1 Sm 0.0000 0.0000 0.2500
Sm2 Sm 0.0000 0.0000 0.7500
Au1 Au 0.0594 0.5297 0.2500
Au2 Au 0.4703 0.5297 0.2500
Au3 Au 0.4703 0.9406 0.2500
Au4 Au 0.5297 0.0594 0.7500
Au5 Au 0.5297 0.4703 0.7500
Au6 Au 0.9406 0.4703 0.7500
F1 F 0.3333 0.6667 0.7500
F2 F 0.6667 0.3333 0.2500
```

The 8 most intense peaks (2θ = 5–70°), most intense first:
- 2θ 31.72, d 2.821, rel. 100.0
- 2θ 44.45, d 2.038, rel. 80.3
- 2θ 30.32, d 2.948, rel. 51.2
- 2θ 45.22, d 2.005, rel. 26.6
- 2θ 50.97, d 1.792, rel. 19.1
- 2θ 21.80, d 4.076, rel. 18.9
- 2θ 65.47, d 1.426, rel. 17.4
- 2θ 56.50, d 1.629, rel. 13.4


4.
This entry pairs a crystal structure of Sn2Te2AuF2 with its computed powder diffractogram. Radiation: copper Kα. Structure: a PBE-relaxed structure.

Structure:
```
data_Sn2Te2AuF2
_space_group_name_H-M_alt 'P 1'
_space_group_IT_number 1
_cell_length_a 4.0579
_cell_length_b 4.0579
_cell_length_c 9.7039
_cell_angle_alpha 90.00
_cell_angle_beta 90.00
_cell_angle_gamma 90.00
loop_
_space_group_symop_operation_xyz
'x,y,z'
loop_
_atom_site_label
_atom_site_type_symbol
_atom_site_fract_x
_atom_site_fract_y
_atom_site_fract_z
Sn1 Sn 0.0000 0.5000 0.1549
Sn2 Sn 0.5000 0.0000 0.8451
Te1 Te 0.0000 0.5000 0.6884
Te2 Te 0.5000 0.0000 0.3116
Au1 Au 0.0000 0.0000 0.5000
F1 F 0.0000 0.0000 0.0000
F2 F 0.5000 0.5000 0.0000
```

The 8 most intense peaks (2θ = 5–70°), most intense first:
- 2θ 28.68, d 3.113, rel. 100.0
- 2θ 36.38, d 2.470, rel. 68.5
- 2θ 44.66, d 2.029, rel. 40.2
- 2θ 53.94, d 1.700, rel. 35.0
- 2θ 43.46, d 2.082, rel. 34.6
- 2θ 23.77, d 3.744, rel. 31.8
- 2θ 64.08, d 1.453, rel. 22.0
- 2θ 9.11, d 9.704, rel. 19.8


5.
This entry pairs a crystal structure of SrAu2F8 with its computed powder diffractogram. Radiation: copper Kα. Structure: a PBE-relaxed structure.

Structure:
```
data_SrAu2F8
_space_group_name_H-M_alt 'P 1'
_space_group_IT_number 1
_cell_length_a 7.4632
_cell_length_b 7.4632
_cell_length_c 7.4632
_cell_angle_alpha 102.79
_cell_angle_beta 102.79
_cell_angle_gamma 123.86
loop_
_space_group_symop_operation_xyz
'x,y,z'
loop_
_atom_site_label
_atom_site_type_symbol
_atom_site_fract_x
_atom_site_fract_y
_atom_site_fract_z
Sr1 Sr 0.0000 0.0000 0.0000
Sr2 Sr 0.7500 0.2500 0.5000
Au1 Au 0.2075 0.0925 0.5602
Au2 Au 0.3527 0.7925 0.8849
Au3 Au 0.5323 0.6473 0.4398
Au4 Au 0.9075 0.4677 0.1151
F1 F 0.0001 0.3043 0.2312
F2 F 0.0731 0.7689 0.7688
F3 F 0.2024 0.2099 0.8158
F4 F 0.2027 0.5085 0.6387
F5 F 0.2311 0.9999 0.3042
F6 F 0.3940 0.3866 0.1842
F7 F 0.4360 0.7973 0.3059
F8 F 0.4915 0.1302 0.6941
F9 F 0.4999 0.0874 0.1182
F10 F 0.6134 0.7976 0.0074
F11 F 0.6183 0.5001 0.5875
F12 F 0.6957 0.9269 0.6958
F13 F 0.7901 0.6060 0.9926
F14 F 0.8698 0.5640 0.3613
F15 F 0.9126 0.0308 0.4125
F16 F 0.9692 0.3817 0.8818
```

The 8 most intense peaks (2θ = 5–70°), most intense first:
- 2θ 24.85, d 3.582, rel. 100.0
- 2θ 28.81, d 3.099, rel. 78.4
- 2θ 31.51, d 2.839, rel. 33.4
- 2θ 19.06, d 4.657, rel. 29.9
- 2θ 50.71, d 1.800, rel. 22.4
- 2θ 49.93, d 1.826, rel. 20.8
- 2θ 30.35, d 2.945, rel. 19.8
- 2θ 37.08, d 2.424, rel. 19.6